Starting from a PBE+U-relaxed structure, the X-ray powder pattern of Li3FeF6 was calculated for copper Kα.

Main lines, sorted by position (2θ from 15° to 90°):
two_theta	I/Imax
20.5	100
20.7	83
23.1	41
24.2	63
36.3	19
38.9	31
39.2	39
40.4	30
40.7	37
45.4	19
49.6	22
61.0	21

Cell and atoms:
```
Li3FeF6
1.0
5.1605 0.0000 0.0000
0.0000 5.2302 0.0000
-5.1253 0.0000 7.7140
Li Fe F
6 2 12
direct
0.0000 0.0000 0.0000
0.0000 0.5000 0.5000
0.2410 0.0328 0.7357
0.2410 0.4672 0.2357
0.7590 0.5328 0.7643
0.7590 0.9672 0.2643
0.5000 0.0000 0.5000
0.5000 0.5000 0.0000
0.1196 0.1732 0.4440
0.1196 0.3268 0.9440
0.2559 0.6852 0.4160
0.2559 0.8148 0.9160
0.3961 0.0888 0.2662
0.3961 0.4112 0.7662
0.6039 0.5888 0.2338
0.6039 0.9112 0.7338
0.7441 0.1852 0.0840
0.7441 0.3148 0.5840
0.8804 0.6732 0.0560
0.8804 0.8268 0.5560
```